Record 1
The following is a simulated powder diffractogram of KNaSmNbO5. It was derived from a cell relaxed with PBE, using Cu Kα.

Atomic structure:
```
18
Lattice="5.747 0.000 0.000 0.000 5.747 0.000 0.000 0.000 8.363" Properties=species:S:1:pos:R:3 pbc="T T T"
K 1.437 4.310 0.000
K 4.310 1.437 0.000
Na 1.437 1.437 2.018
Na 4.310 4.310 6.345
Sm 1.437 4.310 4.181
Sm 4.310 1.437 4.181
Nb 1.437 1.437 6.193
Nb 4.310 4.310 2.170
O 0.104 0.104 5.581
O 0.104 2.769 5.581
O 1.437 1.437 8.066
O 2.769 0.104 5.581
O 2.769 2.769 5.581
O 2.977 2.977 2.781
O 2.977 5.643 2.781
O 4.310 4.310 0.296
O 5.643 2.977 2.781
O 5.643 5.643 2.781
```

Peak list (10 most intense, 10 to 90 degrees two-theta, in order of rising 2θ)
2θ/deg	Rel. int.
10.58	56
18.74	27
24.35	30
30.68	100
31.13	38
44.60	30
54.26	26
55.10	37
63.89	11
89.53	12

=====

Record 2
The following is a simulated powder diffractogram of CeSnO4. It was derived from a cell relaxed with PBE, using Cu Kα.

Atomic structure:
```
6
Lattice="1.869 1.079 6.258 -1.869 1.079 6.258 0.000 -2.158 6.258" Properties=species:S:1:pos:R:3 pbc="T T T"
Ce 0.000 0.000 0.000
Sn 0.000 0.000 9.387
O 0.000 0.000 2.437
O 0.000 0.000 7.122
O 0.000 0.000 11.651
O 0.000 0.000 16.337
```

Peak list (10 most intense, 10 to 90 degrees two-theta, in order of rising 2θ)
2θ/deg	Rel. int.
28.53	36
29.18	100
33.63	38
47.87	39
48.72	37
56.68	16
57.43	30
57.80	15
70.70	11
78.89	12

=====

Record 3
The following is a simulated powder diffractogram of BaSn3Au. It was derived from a cell relaxed with PBE, using Cu Kα.

Atomic structure:
```
5
Lattice="-2.553 2.553 5.654 2.553 -2.553 5.654 2.553 2.553 -5.654" Properties=species:S:1:pos:R:3 pbc="T T T"
Ba 0.000 0.000 0.000
Sn 2.553 0.000 2.813
Sn 0.000 0.000 6.790
Sn 0.000 2.553 2.813
Au 0.000 0.000 4.049
```

Peak list (10 most intense, 10 to 90 degrees two-theta, in order of rising 2θ)
2θ/deg	Rel. int.
19.07	27
29.35	95
29.45	80
35.15	100
40.53	51
43.78	29
46.50	46
50.56	36
57.34	26
59.56	37

=====

Record 4
The following is a simulated powder diffractogram of LiCuF4. It was derived from a cell relaxed with PBE, using Cu Kα.

Atomic structure:
```
24
Lattice="7.468 -1.925 0.000 7.468 1.925 0.000 -6.271 0.000 10.455" Properties=species:S:1:pos:R:3 pbc="T T T"
Li 0.000 0.000 0.000
Li 3.767 0.000 3.494
Li 2.862 0.000 8.667
Li 9.526 0.000 5.324
Cu -2.466 0.000 5.519
Cu 0.499 0.000 3.131
Cu 3.222 0.000 0.360
Cu -0.097 0.000 8.429
F -3.978 0.000 6.635
F -0.705 0.000 1.773
F -4.399 0.000 9.489
F -0.929 0.000 4.439
F -1.268 0.000 6.963
F 1.881 0.000 1.758
F -1.677 0.000 9.459
F 1.810 0.000 4.478
F 4.447 0.000 1.695
F 1.432 0.000 7.329
F 1.126 0.000 9.932
F 4.905 0.000 5.338
F 8.053 0.000 3.231
F 10.561 0.000 0.214
F 7.475 0.000 8.604
F 11.227 0.000 4.029
```

Peak list (10 most intense, 10 to 90 degrees two-theta, in order of rising 2θ)
2θ/deg	Rel. int.
13.83	20
19.63	79
21.88	60
24.14	100
26.39	37
32.98	24
47.22	32
47.43	38
51.61	24
69.17	20

=====

Record 5
The following is a simulated powder diffractogram of Ca2TiSi2SnO10. It was derived from a cell relaxed with PBE, using Cu Kα.

Atomic structure:
```
16
Lattice="5.564 0.000 0.000 -1.504 5.363 0.000 -1.775 -2.323 6.604" Properties=species:S:1:pos:R:3 pbc="T T T"
Ca 0.000 1.219 1.686
Ca 2.285 1.820 4.919
Ti 1.894 -1.162 3.302
Si -0.818 -0.047 4.930
Si 3.103 3.087 1.674
Sn 2.782 0.000 0.000
O -1.187 3.070 2.727
O -0.753 -1.462 5.790
O -1.202 1.161 5.987
O 0.597 0.222 4.106
O 1.774 -0.182 1.712
O 0.510 3.222 4.893
O 1.688 2.818 2.498
O 3.487 1.879 0.617
O 3.037 4.502 0.814
O 3.472 -0.031 3.878
```

Peak list (10 most intense, 10 to 90 degrees two-theta, in order of rising 2θ)
2θ/deg	Rel. int.
17.54	57
18.21	16
26.89	100
29.03	64
33.62	61
33.84	51
42.67	23
51.79	17
52.40	21
60.57	18